Structure and simulated powder X-ray diffraction pattern of Tb2MnBeO6 (the GGA+U geometry in Alexandria; CuKα).
No peak broadening, texture or thermal motion is included.

Peak list (10 most intense, 2θ from 10° to 80°, sorted by position)
- d 3.749, 2θ = 23.73°, rel. 50
- d 3.666, 2θ = 24.28°, rel. 29
- d 3.338, 2θ = 26.71°, rel. 23
- d 2.695, 2θ = 33.24°, rel. 19
- d 2.621, 2θ = 34.21°, rel. 100
- d 2.608, 2θ = 34.38°, rel. 27
- d 2.125, 2θ = 42.54°, rel. 26
- d 1.874, 2θ = 48.57°, rel. 22
- d 1.655, 2θ = 55.52°, rel. 26
- d 1.508, 2θ = 61.47°, rel. 22

Atomic structure:
```
Tb2MnBeO6
1.0
5.2167 0.0000 0.0000
0.0000 5.3908 0.0000
-5.2177 0.0000 7.3327
Tb Mn Be O
4 2 2 12
Direct
0.2386 0.0590 0.2506
0.2386 0.4410 0.7506
0.7614 0.5590 0.2494
0.7614 0.9410 0.7494
0.0000 0.0000 0.5000
0.0000 0.5000 0.0000
0.5000 0.0000 0.0000
0.5000 0.5000 0.5000
0.1634 0.2056 0.9572
0.1634 0.2944 0.4572
0.2515 0.7066 0.9563
0.2515 0.7934 0.4563
0.3378 0.0187 0.7562
0.3378 0.4813 0.2562
0.6622 0.5187 0.7438
0.6622 0.9813 0.2438
0.7485 0.2066 0.5437
0.7485 0.2934 0.0437
0.8366 0.7056 0.5428
0.8366 0.7944 0.0428
```